# LaSmBiTe
Computed powder diffractogram, Cu Kα (λ = 1.5418 Å). Input: a PBE-relaxed structure.
Neutral-atom scattering factors, no anomalous dispersion.

Structure:
```
data_LaSmBiTe
_chemical_formula_sum 'La3 Sm3 Bi3 Te3'
_space_group_name_H-M_alt 'R 3 m'
_space_group_IT_number 160
_space_group_name_Hall 'R 3 -2"'
_cell_length_a 4.5861
_cell_length_b 4.5861
_cell_length_c 22.3131
_cell_angle_alpha 90.00
_cell_angle_beta 90.00
_cell_angle_gamma 120.00
loop_
_atom_site_label
_atom_site_fract_x
_atom_site_fract_y
_atom_site_fract_z
La1 0.0000 0.0000 0.0000
Sm1 0.0000 0.0000 0.5004
Bi1 0.0000 0.0000 0.2476
Te1 0.0000 0.0000 0.7531
```

Principal peaks in the range 10 to 90 degrees two-theta, by angle:
Position (°2θ)  Rel. int.
27.57  100
39.29  39
39.48  38
48.67  21
48.99  7
56.92  13
64.26  19
64.52  18
71.23  7
71.35  14
71.73  6
84.51  4

***

# CeCo4P2
Computed powder diffractogram, Cu Kα (λ = 1.5418 Å). Input: a PBE-relaxed structure.
Neutral-atom scattering factors, no anomalous dispersion.

Structure:
```
data_CeCo4P2
_chemical_formula_sum 'Ce2 Co8 P4'
_space_group_name_H-M_alt 'P 42/m n m'
_space_group_IT_number 136
_space_group_name_Hall '-P 4n 2n'
_cell_length_a 7.137
_cell_length_b 7.137
_cell_length_c 3.568
_cell_angle_alpha 90.00
_cell_angle_beta 90.00
_cell_angle_gamma 90.00
loop_
_atom_site_label
_atom_site_fract_x
_atom_site_fract_y
_atom_site_fract_z
Ce1 0.000 0.000 0.000
Co1 0.083 0.342 0.500
P1 0.223 0.777 0.500
```

Principal peaks in the range 10 to 90 degrees two-theta, by angle:
Position (°2θ)  Rel. int.
24.95  12
27.96  17
37.82  100
39.95  48
43.95  26
47.68  27
51.21  20
52.89  12
59.34  15
66.85  26
71.14  27
76.71  12

***

# MgP3H12
Computed powder diffractogram, Cu Kα (λ = 1.5418 Å). Input: a PBE-relaxed structure.
Neutral-atom scattering factors, no anomalous dispersion.

Structure:
```
data_MgP3H12
_chemical_formula_sum 'Mg6 P18 H72'
_space_group_name_H-M_alt 'R 3 c'
_space_group_IT_number 161
_space_group_name_Hall 'R 3 -2"c'
_cell_length_a 7.0741
_cell_length_b 7.0741
_cell_length_c 28.9288
_cell_angle_alpha 90.00
_cell_angle_beta 90.00
_cell_angle_gamma 120.00
loop_
_atom_site_label
_atom_site_fract_x
_atom_site_fract_y
_atom_site_fract_z
Mg1 0.0000 0.0000 0.0000
P1 0.0063 0.2819 0.4082
H1 0.0096 0.2570 0.0260
H2 0.0646 0.5241 0.2602
H3 0.0781 0.5013 0.4218
H4 0.0833 0.5075 0.1248
```

Principal peaks in the range 10 to 90 degrees two-theta, by angle:
Position (°2θ)  Rel. int.
15.71  54
18.40  46
18.98  10
26.85  100
31.37  48
37.30  14
37.82  30
39.02  11
42.03  11
44.36  15
54.17  11
59.32  14